Diffraction record for Na7Pb5. The X-ray powder pattern is theoretical, not measured: it uses DFT lattice parameters and positions (PBE) and Cu Kα (λ = 1.5418 Å).
Lines closer than 0.1° are merged.

Structural model:
a = 6.1699 Å, b = 6.1699 Å, c = 11.4181 Å
α = 90.91°, β = 90.91°, γ = 53.86°
Element x y z (fractional)
1 Na 0.0000 0.0000 0.0000
2 Na 0.1648 0.1648 0.7498
3 Na 0.3311 0.3311 0.5023
4 Na 0.4956 0.4956 0.2483
5 Na 0.5044 0.5044 0.7517
6 Na 0.6689 0.6689 0.4977
7 Na 0.8352 0.8352 0.2502
8 Pb 0.0000 0.0000 0.5000
9 Pb 0.1646 0.1646 0.2542
10 Pb 0.3305 0.3305 0.9942
11 Pb 0.6695 0.6695 0.0058
12 Pb 0.8354 0.8354 0.7458

Principal peaks in the range 15 to 90 degrees two-theta, in order of falling intensity:
| 2theta | I_rel |
| --- | --- |
| 33.38 | 100 |
| 19.50 | 96 |
| 32.96 | 92 |
| 18.03 | 64 |
| 31.34 | 51 |
| 32.03 | 49 |
| 29.42 | 40 |
| 45.42 | 38 |
| 36.99 | 22 |
| 43.22 | 21 |
| 28.28 | 20 |
| 56.55 | 20 |

Diffraction record for Na15Pb4. The X-ray powder pattern is theoretical, not measured: it uses DFT lattice parameters and positions (PBE) and Cu Kα (λ = 1.5418 Å).
Lines closer than 0.1° are merged.

Structural model:
a = 11.5160 Å, b = 11.5160 Å, c = 11.5160 Å
α = 109.47°, β = 109.47°, γ = 109.47°
Element x y z (fractional)
1 Na 0.0330 0.9168 0.6936
2 Na 0.0832 0.2768 0.1163
3 Na 0.1163 0.0832 0.2768
4 Na 0.1250 0.7500 0.8750
5 Na 0.1605 0.8837 0.4670
6 Na 0.1936 0.4168 0.5330
7 Na 0.2232 0.3064 0.8395
8 Na 0.2500 0.6250 0.3750
9 Na 0.2768 0.1163 0.0832
10 Na 0.3064 0.8395 0.2232
11 Na 0.3395 0.8064 0.7232
12 Na 0.3750 0.2500 0.6250
13 Na 0.3837 0.6605 0.9670
14 Na 0.4168 0.5330 0.1936
15 Na 0.4670 0.1605 0.8837
16 Na 0.5330 0.1936 0.4168
17 Na 0.5832 0.6163 0.7768
18 Na 0.6163 0.7768 0.5832
19 Na 0.6250 0.3750 0.2500
20 Na 0.6605 0.9670 0.3837
21 Na 0.6936 0.0330 0.9168
22 Na 0.7232 0.3395 0.8064
23 Na 0.7500 0.8750 0.1250
24 Na 0.7768 0.5832 0.6163
25 Na 0.8064 0.7232 0.3395
26 Na 0.8395 0.2232 0.3064
27 Na 0.8750 0.1250 0.7500
28 Na 0.8837 0.4670 0.1605
29 Na 0.9168 0.6936 0.0330
30 Na 0.9670 0.3837 0.6605
31 Pb 0.0000 0.0820 0.5000
32 Pb 0.0000 0.5820 0.5000
33 Pb 0.0820 0.5000 0.0000
34 Pb 0.4180 0.4180 0.4180
35 Pb 0.5000 0.0000 0.0820
36 Pb 0.5000 0.0000 0.5820
37 Pb 0.5820 0.5000 0.0000
38 Pb 0.9180 0.9180 0.9180

Principal peaks in the range 15 to 90 degrees two-theta, in order of falling intensity:
| 2theta | I_rel |
| --- | --- |
| 18.88 | 100 |
| 34.39 | 71 |
| 31.56 | 63 |
| 21.13 | 44 |
| 37.03 | 38 |
| 16.33 | 32 |
| 33.00 | 31 |
| 54.32 | 26 |
| 59.83 | 24 |
| 50.43 | 23 |
| 48.40 | 22 |
| 44.14 | 19 |

Diffraction record for Na4Pb3. The X-ray powder pattern is theoretical, not measured: it uses DFT lattice parameters and positions (PBE) and Cu Kα (λ = 1.5418 Å).
Lines closer than 0.1° are merged.

Structural model:
a = 13.3130 Å, b = 13.3130 Å, c = 13.3130 Å
α = 163.00°, β = 163.00°, γ = 24.13°
Element x y z (fractional)
1 Na 0.0703 0.0703 0.0000
2 Na 0.2106 0.2106 0.0000
3 Na 0.7894 0.7894 0.0000
4 Na 0.9297 0.9297 0.0000
5 Pb 0.3589 0.3589 0.0000
6 Pb 0.5000 0.5000 0.0000
7 Pb 0.6411 0.6411 0.0000

Principal peaks in the range 15 to 90 degrees two-theta, in order of falling intensity:
| 2theta | I_rel |
| --- | --- |
| 33.14 | 100 |
| 22.85 | 81 |
| 32.17 | 54 |
| 57.97 | 41 |
| 20.47 | 24 |
| 38.43 | 21 |
| 46.13 | 20 |
| 52.08 | 19 |
| 59.81 | 18 |
| 42.75 | 18 |
| 77.13 | 16 |
| 27.40 | 14 |

Diffraction record for Na3Pb2. The X-ray powder pattern is theoretical, not measured: it uses DFT lattice parameters and positions (PBE) and Cu Kα (λ = 1.5418 Å).
Lines closer than 0.1° are merged.

Structural model:
a = 9.1870 Å, b = 9.1870 Å, c = 9.1870 Å
α = 42.09°, β = 42.09°, γ = 42.09°
Element x y z (fractional)
1 Na 0.2486 0.7500 0.2514
2 Na 0.2500 0.7486 0.7514
3 Na 0.2514 0.2486 0.7500
4 Na 0.7486 0.7514 0.2500
5 Na 0.7500 0.2514 0.2486
6 Na 0.7514 0.2500 0.7486
7 Pb 0.1887 0.1887 0.1887
8 Pb 0.3113 0.3113 0.3113
9 Pb 0.6887 0.6887 0.6887
10 Pb 0.8113 0.8113 0.8113

Principal peaks in the range 15 to 90 degrees two-theta, in order of falling intensity:
| 2theta | I_rel |
| --- | --- |
| 17.05 | 100 |
| 27.03 | 70 |
| 32.58 | 56 |
| 34.64 | 46 |
| 32.13 | 42 |
| 51.37 | 32 |
| 42.47 | 21 |
| 39.23 | 20 |
| 42.82 | 16 |
| 47.75 | 16 |
| 55.72 | 15 |
| 66.06 | 15 |

Diffraction record for Na13Pb2. The X-ray powder pattern is theoretical, not measured: it uses DFT lattice parameters and positions (PBE) and Cu Kα (λ = 1.5418 Å).
Lines closer than 0.1° are merged.

Structural model:
a = 6.3105 Å, b = 9.2679 Å, c = 9.3020 Å
α = 67.18°, β = 81.30°, γ = 86.64°
Element x y z (fractional)
1 Na 0.0000 0.0000 0.0000
2 Na 0.1364 0.7430 0.4984
3 Na 0.2241 0.1839 0.2003
4 Na 0.2373 0.5958 0.9304
5 Na 0.3106 0.0366 0.6459
6 Na 0.3606 0.4365 0.3857
7 Na 0.4406 0.7992 0.1327
8 Na 0.5594 0.2008 0.8673
9 Na 0.6394 0.5635 0.6143
10 Na 0.6894 0.9634 0.3541
11 Na 0.7627 0.4042 0.0696
12 Na 0.7759 0.8161 0.7997
13 Na 0.8636 0.2570 0.5016
14 Pb 0.1008 0.3627 0.7565
15 Pb 0.8992 0.6373 0.2435

Principal peaks in the range 15 to 90 degrees two-theta, in order of falling intensity:
| 2theta | I_rel |
| --- | --- |
| 31.79 | 100 |
| 32.28 | 89 |
| 19.39 | 79 |
| 30.47 | 72 |
| 17.60 | 52 |
| 29.67 | 34 |
| 17.32 | 33 |
| 34.60 | 33 |
| 20.93 | 33 |
| 21.51 | 31 |
| 29.07 | 29 |
| 43.04 | 28 |

Diffraction record for NaPd2Pb4. The X-ray powder pattern is theoretical, not measured: it uses DFT lattice parameters and positions (PBE) and Cu Kα (λ = 1.5418 Å).
Lines closer than 0.1° are merged.

Structural model:
a = 19.7794 Å, b = 4.6113 Å, c = 7.7055 Å
α = 90.00°, β = 90.00°, γ = 90.00°
Element x y z (fractional)
1 Na 0.1422 0.2500 0.0434
2 Na 0.3578 0.7500 0.5434
3 Na 0.6422 0.2500 0.4566
4 Na 0.8578 0.7500 0.9566
5 Pd 0.0409 0.7500 0.2418
6 Pd 0.2139 0.2500 0.5515
7 Pd 0.2861 0.7500 0.0515
8 Pd 0.4591 0.2500 0.7418
9 Pd 0.5409 0.7500 0.2582
10 Pd 0.7139 0.2500 0.9485
11 Pd 0.7861 0.7500 0.4485
12 Pd 0.9591 0.2500 0.7582
13 Pb 0.0341 0.7500 0.8636
14 Pb 0.0676 0.2500 0.4958
15 Pb 0.1829 0.7500 0.3280
16 Pb 0.1934 0.7500 0.7603
17 Pb 0.3066 0.2500 0.2603
18 Pb 0.3171 0.2500 0.8280
19 Pb 0.4324 0.7500 0.9958
20 Pb 0.4659 0.2500 0.3636
21 Pb 0.5341 0.7500 0.6364
22 Pb 0.5676 0.2500 0.0042
23 Pb 0.6829 0.7500 0.1720
24 Pb 0.6934 0.7500 0.7397
25 Pb 0.8066 0.2500 0.2397
26 Pb 0.8171 0.2500 0.6720
27 Pb 0.9324 0.7500 0.5042
28 Pb 0.9659 0.2500 0.1364

Principal peaks in the range 15 to 90 degrees two-theta, in order of falling intensity:
| 2theta | I_rel |
| --- | --- |
| 31.58 | 100 |
| 31.99 | 66 |
| 39.07 | 65 |
| 41.01 | 63 |
| 41.26 | 35 |
| 30.57 | 34 |
| 36.34 | 33 |
| 26.27 | 29 |
| 33.41 | 27 |
| 37.99 | 27 |
| 17.70 | 25 |
| 39.55 | 25 |

Diffraction record for Na2PdPb. The X-ray powder pattern is theoretical, not measured: it uses DFT lattice parameters and positions (PBE) and Cu Kα (λ = 1.5418 Å).
Lines closer than 0.1° are merged.

Structural model:
a = 6.1434 Å, b = 6.1434 Å, c = 8.3772 Å
α = 113.65°, β = 113.65°, γ = 48.02°
Element x y z (fractional)
1 Na 0.0000 0.0000 0.0000
2 Na 0.9999 0.9999 0.4988
3 Na 0.3648 0.3648 0.6790
4 Na 0.6358 0.6358 0.3208
5 Pd 0.2194 0.2194 0.8911
6 Pd 0.7790 0.7790 0.1063
7 Pb 0.3238 0.3238 0.2573
8 Pb 0.6761 0.6761 0.7404

Principal peaks in the range 15 to 90 degrees two-theta, in order of falling intensity:
| 2theta | I_rel |
| --- | --- |
| 16.31 | 100 |
| 32.10 | 66 |
| 17.59 | 62 |
| 37.52 | 45 |
| 33.97 | 35 |
| 35.93 | 34 |
| 21.01 | 31 |
| 48.95 | 26 |
| 47.09 | 24 |
| 39.69 | 22 |
| 23.64 | 21 |
| 47.42 | 20 |

Diffraction record for Na3PdPb. The X-ray powder pattern is theoretical, not measured: it uses DFT lattice parameters and positions (PBE) and Cu Kα (λ = 1.5418 Å).
Lines closer than 0.1° are merged.

Structural model:
a = 9.7593 Å, b = 9.7593 Å, c = 6.2848 Å
α = 102.08°, β = 102.08°, γ = 84.50°
Element x y z (fractional)
1 Na 0.0157 0.6337 0.8783
2 Na 0.0569 0.1596 0.4877
3 Na 0.1596 0.0569 0.9877
4 Na 0.3199 0.4620 0.8422
5 Na 0.3663 0.9843 0.6217
6 Na 0.4620 0.3199 0.3422
7 Na 0.5380 0.6801 0.6578
8 Na 0.6337 0.0157 0.3783
9 Na 0.6801 0.5380 0.1578
10 Na 0.8404 0.9431 0.0123
11 Na 0.9431 0.8404 0.5123
12 Na 0.9843 0.3663 0.1217
13 Pd 0.1522 0.8478 0.2500
14 Pd 0.2295 0.7705 0.7500
15 Pd 0.7705 0.2295 0.2500
16 Pd 0.8478 0.1522 0.7500
17 Pb 0.2182 0.5861 0.3578
18 Pb 0.4139 0.7818 0.1422
19 Pb 0.5861 0.2182 0.8578
20 Pb 0.7818 0.4139 0.6422

Principal peaks in the range 15 to 90 degrees two-theta, in order of falling intensity:
| 2theta | I_rel |
| --- | --- |
| 18.89 | 100 |
| 21.75 | 71 |
| 38.45 | 66 |
| 37.79 | 64 |
| 35.28 | 62 |
| 29.18 | 62 |
| 36.91 | 58 |
| 35.68 | 58 |
| 31.03 | 49 |
| 18.62 | 48 |
| 32.23 | 39 |
| 38.31 | 38 |